# 1
The following is a computed PXRD pattern of Cs3BBr. It was derived from a cell relaxed with PBE, using a wavelength of 1.5418 Å.
Neutral-atom scattering factors, no anomalous dispersion.

abc: 6.3528 6.3528 6.3528
angles: 90.00 90.00 90.00
Space group Pm-3m (No. 221)
One atom of each set of equivalent atoms:
1 Cs 0.0000 0.0000 0.5000 [3 per cell]
2 B 0.0000 0.0000 0.0000 [1 per cell]
3 Br 0.5000 0.5000 0.5000 [1 per cell]

Peak list (10 most intense, 2θ from 10° to 90°, by angle)
index	2θ (°)	d_spacing	I/Imax
1 1 1	24.27	3.668	100.0
2 0 0	28.09	3.176	55.9
2 2 0	40.15	2.246	41.7
3 1 1	47.47	1.915	48.1
2 2 2	49.72	1.834	14.8
4 0 0	58.08	1.588	7.0
3 3 1	63.87	1.457	19.9
4 2 0	65.74	1.421	19.3
4 2 2	72.95	1.297	14.3
5 1 1	78.18	1.223	15.0

# 2
The following is a computed PXRD pattern of Cs3B12H12Br. It was derived from a cell relaxed with PBE, using a wavelength of 1.5418 Å.
Neutral-atom scattering factors, no anomalous dispersion.

abc: 10.5818 10.5818 12.0042
angles: 90.00 90.00 120.00
Space group R-3m (No. 166, hexagonal axes)
One atom of each set of equivalent atoms:
1 Cs 0.0000 0.5000 0.0000 [9 per cell]
2 B 0.0560 0.1120 0.8879 [18 per cell]
3 B 0.0907 0.1814 0.0265 [18 per cell]
4 H 0.0227 0.5114 0.7129 [18 per cell]
5 H 0.0961 0.1922 0.8086 [18 per cell]
6 Br 0.0000 0.0000 0.5000 [3 per cell]

Peak list (10 most intense, 2θ from 10° to 90°, by angle)
index	2θ (°)	d_spacing	I/Imax
1 0 1	12.15	7.284	29.9
0 2 1	20.75	4.281	71.5
0 0 3	22.22	4.001	19.8
2 0 2	24.44	3.642	100.0
2 1 1	26.79	3.328	31.6
1 1 3	27.96	3.191	31.6
2 2 0	33.89	2.645	40.6
0 2 4	35.77	2.511	35.5
2 2 3	40.89	2.207	20.3
4 2 2	55.20	1.664	22.4